Record 1
Diffraction record for Th2UCo12Si3. The powder X-ray diffraction pattern is simulated, not measured: it uses a DFT-relaxed cell (GGA-PBE, Alexandria) and λ = 1.5418 Å (Cu Kα).
Peak positions follow from Bragg's law for the DFT cell and can differ from measured ones.

Top 8 peaks for 2θ = 10–80°, in order of rising 2θ:
- d 5.145, I = 413, (0 1 2)
- d 3.775, I = 494, (1 1 0)
- d 3.123, I = 647, (1 1 3)
- d 2.972, I = 944, (0 1 5)
- d 2.573, I = 752, (0 2 4)
- d 1.986, I = 606, (1 2 5)
- d 1.887, I = 1000, (2 2 0)
- d 1.758, I = 553, (2 0 8)

Atomic structure:
Unit cell a=7.5494 b=7.5494 c=16.6799 alpha=90.00 beta=90.00 gamma=120.00
Space group R-3m (No. 166, hexagonal axes)
Asymmetric unit:
Th 0.0000 0.0000 0.1041 (multiplicity 6)
U 0.0000 0.0000 0.5000 (multiplicity 3)
Co 0.0157 0.5078 0.8662 (multiplicity 18)
Co 0.0258 0.5129 0.3779 (multiplicity 18)
Si 0.0000 0.5000 0.0000 (multiplicity 9)

---

Record 2
Diffraction record for Pm4Al12Ir. The powder X-ray diffraction pattern is simulated, not measured: it uses a DFT-relaxed cell (GGA-PBE, Alexandria) and λ = 1.5418 Å (Cu Kα).
Peak positions follow from Bragg's law for the DFT cell and can differ from measured ones.

Top 8 peaks for 2θ = 10–80°, in order of rising 2θ:
- d 6.193, I = 289, (1 1 0)
- d 4.379, I = 204, (2 0 0)
- d 3.097, I = 1000, (2 2 0)
- d 2.528, I = 417, (2 2 2)
- d 2.190, I = 481, (4 0 0)
- d 1.788, I = 391, (4 2 2)
- d 1.548, I = 309, (4 4 0)
- d 1.385, I = 201, (6 2 0)

Atomic structure:
Unit cell a=8.758 b=8.758 c=8.758 alpha=90.00 beta=90.00 gamma=90.00
Space group Im-3m (No. 229)
Asymmetric unit:
Pm 0.250 0.250 0.250 (multiplicity 8)
Al 0.000 0.000 0.287 (multiplicity 12)
Al 0.000 0.250 0.500 (multiplicity 12)
Ir 0.000 0.000 0.000 (multiplicity 2)

---

Record 3
Diffraction record for La2HoTm. The powder X-ray diffraction pattern is simulated, not measured: it uses a DFT-relaxed cell (GGA-PBE, Alexandria) and λ = 1.5418 Å (Cu Kα).
Peak positions follow from Bragg's law for the DFT cell and can differ from measured ones.

Top 8 peaks for 2θ = 10–80°, in order of rising 2θ:
- d 2.957, I = 1000, (1 1 1)
- d 2.613, I = 357, (2 0 0)
- d 2.466, I = 152, (0 0 2)
- d 1.848, I = 129, (2 2 0)
- d 1.793, I = 234, (2 0 2)
- d 1.567, I = 302, (3 1 1)
- d 1.502, I = 131, (1 1 3)
- d 1.479, I = 124, (2 2 2)

Atomic structure:
Unit cell a=5.226 b=5.226 c=4.931 alpha=90.00 beta=90.00 gamma=90.00
Space group P4/mmm (No. 123)
Asymmetric unit:
La 0.000 0.500 0.000 (multiplicity 2)
Ho 0.000 0.000 0.500 (multiplicity 1)
Tm 0.500 0.500 0.500 (multiplicity 1)

---

Record 4
Diffraction record for Li2Cu3Cl8. The powder X-ray diffraction pattern is simulated, not measured: it uses a DFT-relaxed cell (GGA-PBE, Alexandria) and λ = 1.5418 Å (Cu Kα).
Peak positions follow from Bragg's law for the DFT cell and can differ from measured ones.

Top 8 peaks for 2θ = 10–80°, in order of rising 2θ:
- d 5.914, I = 748, (0 2 1)
- d 5.583, I = 352, (1 1 1)
- d 4.023, I = 146, (0 2 2)
- d 3.242, I = 315, (2 2 1)
- d 2.705, I = 1000, (2 4 0)
- d 2.377, I = 329, (0 0 4)
- d 1.938, I = 188, (4 0 0)
- d 1.786, I = 497, (2 4 4)

Atomic structure:
Unit cell a=7.753 b=15.108 c=9.507 alpha=90.00 beta=90.00 gamma=90.00
Space group Cmce (No. 64)
Asymmetric unit:
Li 0.000 0.136 0.113 (multiplicity 8)
Cu 0.000 0.000 0.500 (multiplicity 4)
Cu 0.250 0.142 0.750 (multiplicity 8)
Cl 0.000 0.004 0.262 (multiplicity 8)
Cl 0.000 0.234 0.763 (multiplicity 8)
Cl 0.234 0.119 0.516 (multiplicity 16)

---

Record 5
Diffraction record for LiPr5Er4. The powder X-ray diffraction pattern is simulated, not measured: it uses a DFT-relaxed cell (GGA-PBE, Alexandria) and λ = 1.5418 Å (Cu Kα).
Peak positions follow from Bragg's law for the DFT cell and can differ from measured ones.

Top 8 peaks for 2θ = 10–80°, in order of rising 2θ:
- d 2.920, I = 1000, (1 0 5)
- d 2.570, I = 371, (1 1 0)
- d 2.452, I = 138, (0 0 10)
- d 1.818, I = 133, (2 0 0)
- d 1.774, I = 203, (1 1 10)
- d 1.543, I = 297, (2 1 5)
- d 1.491, I = 86, (1 0 15)
- d 1.460, I = 105, (2 0 10)

Atomic structure:
Unit cell a=3.635 b=3.635 c=24.517 alpha=90.00 beta=90.00 gamma=90.00
Space group P4/mmm (No. 123)
Asymmetric unit:
Li 0.000 0.000 0.000 (multiplicity 1)
Pr 0.500 0.500 0.089 (multiplicity 2)
Pr 0.500 0.500 0.295 (multiplicity 2)
Pr 0.500 0.500 0.500 (multiplicity 1)
Er 0.000 0.000 0.191 (multiplicity 2)
Er 0.000 0.000 0.397 (multiplicity 2)

---

Record 6
Diffraction record for Th11Pd4Au9. The powder X-ray diffraction pattern is simulated, not measured: it uses a DFT-relaxed cell (GGA-PBE, Alexandria) and λ = 1.5418 Å (Cu Kα).
Peak positions follow from Bragg's law for the DFT cell and can differ from measured ones.

Top 8 peaks for 2θ = 10–80°, in order of rising 2θ:
- d 2.844, I = 210, (2 4 1)
- d 2.792, I = 279, (1 5 1)
- d 2.742, I = 318, (3 3 1)
- d 2.610, I = 949, (0 6 1)
- d 2.602, I = 1000, (4 0 1)
- d 2.549, I = 804, (4 6 0)
- d 1.886, I = 318, (0 0 2)
- d 1.516, I = 346, (4 6 2)

Atomic structure:
Unit cell a=14.378 b=21.690 c=3.771 alpha=90.00 beta=90.00 gamma=90.00
Space group Cmmm (No. 65)
Asymmetric unit:
Th 0.000 0.000 0.000 (multiplicity 2)
Th 0.000 0.170 0.000 (multiplicity 4)
Th 0.000 0.369 0.000 (multiplicity 4)
Th 0.203 0.500 0.000 (multiplicity 4)
Th 0.231 0.175 0.000 (multiplicity 8)
Pd 0.151 0.402 0.500 (multiplicity 8)
Au 0.000 0.500 0.500 (multiplicity 2)
Au 0.106 0.267 0.500 (multiplicity 8)
Au 0.141 0.071 0.500 (multiplicity 8)

---

Record 7
Diffraction record for Ca3Zn6Ag20. The powder X-ray diffraction pattern is simulated, not measured: it uses a DFT-relaxed cell (GGA-PBE, Alexandria) and λ = 1.5418 Å (Cu Kα).
Peak positions follow from Bragg's law for the DFT cell and can differ from measured ones.

Top 8 peaks for 2θ = 10–80°, in order of rising 2θ:
- d 4.630, I = 217, (2 2 0)
- d 2.520, I = 1000, (3 3 3)
- d 2.315, I = 346, (4 4 0)
- d 2.213, I = 461, (5 3 1)
- d 2.182, I = 205, (6 0 0)
- d 1.974, I = 196, (6 2 2)
- d 1.543, I = 169, (6 6 0)
- d 1.336, I = 192, (8 4 4)

Atomic structure:
Unit cell a=13.094 b=13.094 c=13.094 alpha=90.00 beta=90.00 gamma=90.00
Space group Fm-3m (No. 225)
Asymmetric unit:
Ca 0.000 0.000 0.000 (multiplicity 4)
Ca 0.250 0.250 0.250 (multiplicity 8)
Zn 0.000 0.000 0.267 (multiplicity 24)
Ag 0.000 0.175 0.175 (multiplicity 48)
Ag 0.117 0.117 0.383 (multiplicity 32)

---

Record 8
Diffraction record for Li2NiH3. The powder X-ray diffraction pattern is simulated, not measured: it uses a DFT-relaxed cell (GGA-PBE, Alexandria) and λ = 1.5418 Å (Cu Kα).
Peak positions follow from Bragg's law for the DFT cell and can differ from measured ones.

Top 8 peaks for 2θ = 10–80°, in order of rising 2θ:
- d 4.417, I = 1000, (1 1 0)
- d 3.881, I = 570, (2 0 0)
- d 3.164, I = 473, (1 1 1)
- d 2.331, I = 209, (3 1 0)
- d 2.311, I = 365, (0 2 1)
- d 2.073, I = 258, (3 1 1)
- d 2.018, I = 202, (1 1 2)
- d 1.986, I = 307, (2 2 1)

Atomic structure:
Unit cell a=7.763 b=5.371 c=4.536 alpha=90.00 beta=90.00 gamma=90.00
Space group Cmcm (No. 63)
Asymmetric unit:
Li 0.161 0.168 0.250 (multiplicity 8)
Ni 0.000 0.394 0.750 (multiplicity 4)
H 0.000 0.104 0.750 (multiplicity 4)
H 0.139 0.500 0.000 (multiplicity 8)